This entry pairs a crystal structure of BaS3 with its calculated powder diffractogram. Radiation: a wavelength of 1.5418 Å. Structure: the GGA-PBE geometry in Alexandria.

Crystal structure
Cell lengths 6.9840, 6.9840, 4.2323 Å; angles 90.00, 90.00, 90.00 degrees
Fractional positions:
Ba: 0.0000 0.0000 0.0000
Ba: 0.5000 0.5000 0.0000
S: 0.0000 0.5000 0.2103
S: 0.1784 0.3216 0.4743
S: 0.3216 0.8216 0.5257
S: 0.5000 0.0000 0.7897
S: 0.6784 0.1784 0.5257
S: 0.8216 0.6784 0.4743

Most intense lines, 2θ from 15° to 90°, in order of falling intensity:
2θ (°)	d_spacing	I (rel.)	(hkl)
33.26	2.694	100	2 0 1
27.76	3.214	91	1 1 1
17.96	4.938	47	1 1 0
25.51	3.492	46	2 0 0
36.39	2.469	43	2 2 0
60.60	1.528	36	3 1 2
40.86	2.209	28	3 1 0
46.70	1.945	26	1 1 2